Structure and theoretical powder X-ray diffraction pattern of SmDyMg2 (a PBE-relaxed structure; Cu Ka).
Kinematic intensities with the Lorentz-polarization factor, no thermal factor.

Top 7 peaks for 2θ from 5° to 70°, sorted by position:
2θ/deg  I/Imax
23.31  62
33.21  100
40.97  19
47.67  18
53.72  26
59.33  38
69.71  12

Structural model:
Lattice parameters (Å, degrees): 5.3960 5.3960 5.3960 60.00 60.00 60.00
Sites, in units of the cell vectors:
Sm: 0.0000 0.0000 0.0000
Dy: 0.5000 0.5000 0.5000
Mg: 0.2500 0.2500 0.2500
Mg: 0.7500 0.7500 0.7500

=====

Structure and theoretical powder X-ray diffraction pattern of Na2SO5 (a PBE-relaxed structure; Cu Ka).
Kinematic intensities with the Lorentz-polarization factor, no thermal factor.

Top 10 peaks for 2θ from 5° to 70°, sorted by position:
2θ/deg  I/Imax
12.30  24
14.93  100
19.98  39
24.75  13
27.38  9
29.43  18
34.08  13
37.51  13
44.26  15
49.91  9

Structural model:
Lattice parameters (Å, degrees): 7.8966 7.8966 5.6531 90.00 90.00 131.27
Sites, in units of the cell vectors:
Na: 0.0000 0.0000 0.0000
Na: 0.0000 0.0000 0.5000
Na: 0.3048 0.6952 0.7500
Na: 0.6952 0.3048 0.2500
S: 0.1830 0.8170 0.2500
S: 0.8170 0.1830 0.7500
O: 0.0401 0.3179 0.5723
O: 0.0401 0.3179 0.9277
O: 0.1404 0.8596 0.7500
O: 0.3179 0.0401 0.0723
O: 0.3179 0.0401 0.4277
O: 0.6821 0.9599 0.5723
O: 0.6821 0.9599 0.9277
O: 0.8596 0.1404 0.2500
O: 0.9599 0.6821 0.0723
O: 0.9599 0.6821 0.4277

=====

Structure and theoretical powder X-ray diffraction pattern of Tm2CoSi2 (a PBE-relaxed structure; Cu Ka).
Kinematic intensities with the Lorentz-polarization factor, no thermal factor.

Top 10 peaks for 2θ from 5° to 70°, sorted by position:
2θ/deg  I/Imax
23.85  62
27.59  43
34.42  49
34.79  100
35.11  46
35.36  55
38.16  41
41.84  34
42.62  34
44.14  40

Structural model:
Lattice parameters (Å, degrees): 5.5157 5.5157 9.8569 116.63 116.63 43.67
Sites, in units of the cell vectors:
Tm: 0.0024 0.0024 0.3300
Tm: 0.1859 0.1859 0.1072
Tm: 0.8141 0.8141 0.8928
Tm: 0.9976 0.9976 0.6700
Co: 0.2731 0.2731 0.6257
Co: 0.7269 0.7269 0.3743
Si: 0.3510 0.3510 0.4332
Si: 0.4917 0.4917 0.1245
Si: 0.5083 0.5083 0.8755
Si: 0.6490 0.6490 0.5668

=====

Structure and theoretical powder X-ray diffraction pattern of CuAgPO4 (a PBE-relaxed structure; Cu Ka).
Kinematic intensities with the Lorentz-polarization factor, no thermal factor.

Top 10 peaks for 2θ from 5° to 70°, sorted by position:
2θ/deg  I/Imax
22.30  34
24.01  36
28.82  51
29.65  50
30.25  31
32.81  53
33.69  43
34.20  35
35.11  100
48.06  41

Structural model:
Lattice parameters (Å, degrees): 5.7708 7.6230 15.9505 90.00 90.00 90.00
Sites, in units of the cell vectors:
Cu: 0.1151 0.1794 0.0285
Cu: 0.1151 0.3206 0.5285
Cu: 0.3849 0.6794 0.0285
Cu: 0.3849 0.8206 0.5285
Cu: 0.6151 0.1794 0.4715
Cu: 0.6151 0.3206 0.9715
Cu: 0.8849 0.6794 0.4715
Cu: 0.8849 0.8206 0.9715
Ag: 0.1245 0.6649 0.7146
Ag: 0.1245 0.8351 0.2146
Ag: 0.3755 0.1649 0.7146
Ag: 0.3755 0.3351 0.2146
Ag: 0.6245 0.6649 0.7854
Ag: 0.6245 0.8351 0.2854
Ag: 0.8755 0.1649 0.7854
Ag: 0.8755 0.3351 0.2854
P: 0.1004 0.0258 0.3895
P: 0.1004 0.4742 0.8895
P: 0.3996 0.5258 0.3895
P: 0.3996 0.9742 0.8895
P: 0.6004 0.0258 0.1105
P: 0.6004 0.4742 0.6105
P: 0.8996 0.5258 0.1105
P: 0.8996 0.9742 0.6105
O: 0.0384 0.1496 0.6154
O: 0.0384 0.3504 0.1154
O: 0.0520 0.6749 0.0689
O: 0.0520 0.8251 0.5689
O: 0.1625 0.0843 0.2995
O: 0.1625 0.4157 0.7995
O: 0.1757 0.5031 0.4441
O: 0.1757 0.9969 0.9441
O: 0.3243 0.0031 0.4441
O: 0.3243 0.4969 0.9441
O: 0.3375 0.5843 0.2995
O: 0.3375 0.9157 0.7995
O: 0.4480 0.1749 0.0689
O: 0.4480 0.3251 0.5689
O: 0.4616 0.6496 0.6154
O: 0.4616 0.8504 0.1154
O: 0.5384 0.1496 0.8846
O: 0.5384 0.3504 0.3846
O: 0.5520 0.6749 0.4311
O: 0.5520 0.8251 0.9311
O: 0.6625 0.0843 0.2005
O: 0.6625 0.4157 0.7005
O: 0.6757 0.5031 0.0559
O: 0.6757 0.9969 0.5559
O: 0.8243 0.0031 0.0559
O: 0.8243 0.4969 0.5559
O: 0.8375 0.5843 0.2005
O: 0.8375 0.9157 0.7005
O: 0.9480 0.1749 0.4311
O: 0.9480 0.3251 0.9311
O: 0.9616 0.6496 0.8846
O: 0.9616 0.8504 0.3846

=====

Structure and theoretical powder X-ray diffraction pattern of Sm2Co17H3 (a PBE-relaxed structure; Cu Ka).
Kinematic intensities with the Lorentz-polarization factor, no thermal factor.

Top 10 peaks for 2θ from 5° to 70°, sorted by position:
2θ/deg  I/Imax
30.59  40
36.87  40
38.53  37
42.83  72
43.32  100
44.31  20
44.77  49
48.63  23
62.55  20
63.30  25

Structural model:
Lattice parameters (Å, degrees): 6.3382 6.3382 6.3382 83.56 83.56 83.56
Sites, in units of the cell vectors:
Sm: 0.1551 0.1551 0.1551
Sm: 0.8449 0.8449 0.8449
Co: 0.0000 0.5000 0.5000
Co: 0.1554 0.1554 0.6437
Co: 0.1554 0.6437 0.1554
Co: 0.2174 0.5000 0.7826
Co: 0.2174 0.7826 0.5000
Co: 0.3563 0.8446 0.8446
Co: 0.4038 0.4038 0.4038
Co: 0.5000 0.0000 0.5000
Co: 0.5000 0.2174 0.7826
Co: 0.5000 0.5000 0.0000
Co: 0.5000 0.7826 0.2174
Co: 0.5962 0.5962 0.5962
Co: 0.6437 0.1554 0.1554
Co: 0.7826 0.2174 0.5000
Co: 0.7826 0.5000 0.2174
Co: 0.8446 0.3563 0.8446
Co: 0.8446 0.8446 0.3563
H: 0.0000 0.0000 0.5000
H: 0.0000 0.5000 0.0000
H: 0.5000 0.0000 0.0000

=====

Structure and theoretical powder X-ray diffraction pattern of CoSnN6Cl5 (a PBE-relaxed structure; Cu Ka).
Kinematic intensities with the Lorentz-polarization factor, no thermal factor.

Top 10 peaks for 2θ from 5° to 70°, sorted by position:
2θ/deg  I/Imax
7.45  28
12.57  36
14.94  67
15.56  100
16.33  57
22.02  20
23.22  35
23.75  19
24.47  20
34.35  24

Structural model:
Lattice parameters (Å, degrees): 8.2901 23.7182 8.8587 90.00 98.75 90.00
Sites, in units of the cell vectors:
Co: 0.0722 0.0938 0.3474
Co: 0.0722 0.4062 0.8474
Co: 0.9278 0.5938 0.1526
Co: 0.9278 0.9062 0.6526
Sn: 0.3431 0.6061 0.6874
Sn: 0.3431 0.8939 0.1874
Sn: 0.6569 0.1061 0.8126
Sn: 0.6569 0.3939 0.3126
N: 0.0268 0.1577 0.2984
N: 0.0268 0.3423 0.7984
N: 0.0753 0.5497 0.1928
N: 0.0753 0.9503 0.6928
N: 0.1153 0.0959 0.5596
N: 0.1153 0.4041 0.0596
N: 0.2388 0.0722 0.2825
N: 0.2388 0.4278 0.7825
N: 0.3410 0.1815 0.1435
N: 0.3410 0.3185 0.6435
N: 0.3883 0.2000 0.2572
N: 0.3883 0.3000 0.7572
N: 0.6117 0.7000 0.2428
N: 0.6117 0.8000 0.7428
N: 0.6590 0.6815 0.3565
N: 0.6590 0.8185 0.8565
N: 0.7612 0.5722 0.2175
N: 0.7612 0.9278 0.7175
N: 0.8847 0.5959 0.9404
N: 0.8847 0.9041 0.4404
N: 0.9247 0.0497 0.3072
N: 0.9247 0.4503 0.8072
N: 0.9732 0.6577 0.2016
N: 0.9732 0.8423 0.7016
Cl: 0.0973 0.5611 0.6077
Cl: 0.0973 0.9389 0.1077
Cl: 0.1934 0.1545 0.6364
Cl: 0.1934 0.3455 0.1364
Cl: 0.3408 0.6921 0.5632
Cl: 0.3408 0.8079 0.0632
Cl: 0.3670 0.6213 0.9484
Cl: 0.3670 0.8787 0.4484
Cl: 0.4382 0.0530 0.8646
Cl: 0.4382 0.4470 0.3646
Cl: 0.5618 0.5530 0.6354
Cl: 0.5618 0.9470 0.1354
Cl: 0.6330 0.1213 0.5516
Cl: 0.6330 0.3787 0.0516
Cl: 0.6592 0.1921 0.9368
Cl: 0.6592 0.3079 0.4368
Cl: 0.8066 0.6545 0.8636
Cl: 0.8066 0.8455 0.3636
Cl: 0.9027 0.0611 0.8923
Cl: 0.9027 0.4389 0.3923

=====

Structure and theoretical powder X-ray diffraction pattern of Er2AlSi2 (a PBE-relaxed structure; Cu Ka).
Kinematic intensities with the Lorentz-polarization factor, no thermal factor.

Top 10 peaks for 2θ from 5° to 70°, sorted by position:
2θ/deg  I/Imax
20.72  32
26.92  70
30.82  28
34.21  100
35.00  23
37.43  35
38.61  20
44.94  18
59.87  18
67.58  19

Structural model:
Lattice parameters (Å, degrees): 5.5551 5.5551 5.5551 137.41 117.02 79.01
Sites, in units of the cell vectors:
Er: 0.2112 0.2112 0.0000
Er: 0.7888 0.7888 0.0000
Al: 0.5000 0.0000 0.5000
Si: 0.2109 0.5000 0.7109
Si: 0.7891 0.5000 0.2891